Starting from the PBE geometry in the Materials Project, the XRD peak list of Ho3ReB7 was calculated for copper Kα.
Kinematic intensities with the Lorentz-polarization factor, no thermal factor.

The 10 most intense peaks (5 to 70 degrees two-theta), in order of falling intensity:
2θ (°)	I_rel
25.92	100
39.06	77
29.73	70
30.92	64
39.63	58
60.97	32
34.24	31
63.71	26
51.91	25
42.44	25

Atomic structure:
```
22
Lattice="1.7614 -7.8567 0.0000 1.7614 7.8567 0.0000 0.0000 0.0000 9.3298" Properties=species:S:1:pos:R:3 pbc="T T T"
Ho 1.7614 6.1990 5.2248
Ho 1.7614 6.1990 8.7698
Ho 1.7614 4.0425 2.3324
Ho 1.7614 -4.0425 6.9973
Ho 1.7614 -6.1990 0.5600
Ho 1.7614 -6.1990 4.1049
Re 1.7614 7.0308 2.3324
Re 1.7614 -7.0308 6.9973
B 1.7614 3.5702 4.9771
B 1.7614 3.5702 9.0176
B 1.7614 2.0772 6.0687
B 1.7614 2.0772 7.9259
B 1.7614 0.6838 2.3324
B 1.7614 0.3228 5.5522
B 1.7614 0.3228 8.4425
B 1.7614 -0.3228 0.8873
B 1.7614 -0.3228 3.7776
B 1.7614 -0.6838 6.9973
B 1.7614 -2.0772 1.4038
B 1.7614 -2.0772 3.2611
B 1.7614 -3.5702 0.3122
B 1.7614 -3.5702 4.3527
```

Starting from the PBE geometry in the Materials Project, the XRD peak list of Mg14VNi was calculated for copper Kα.
Kinematic intensities with the Lorentz-polarization factor, no thermal factor.

The 10 most intense peaks (5 to 70 degrees two-theta), in order of falling intensity:
2θ (°)	I_rel
37.81	100
32.98	26
36.42	24
8.96	21
66.45	15
49.94	15
58.85	11
18.63	7
59.01	6
16.30	5

Atomic structure:
```
16
Lattice="9.8688 0.0000 0.0000 0.0000 3.1305 5.4409 0.0000 -3.1305 5.4409" Properties=species:S:1:pos:R:3 pbc="T T T"
Mg 0.0000 0.0000 0.0000
Mg 0.0000 -1.5563 2.7462
Mg 0.0000 0.0000 5.4278
Mg 0.0000 1.5563 2.7462
Mg 2.4781 0.0000 7.2254
Mg 2.6092 0.0000 1.7495
Mg 2.6609 -1.5901 4.6008
Mg 2.6609 1.5901 4.6008
Mg 4.9344 -1.5318 8.1563
Mg 4.9344 1.5318 8.1563
Mg 7.2079 -1.5901 4.6008
Mg 7.2079 1.5901 4.6008
Mg 7.2595 0.0000 1.7495
Mg 7.3907 0.0000 7.2254
V 4.9344 0.0000 5.5139
Ni 4.9344 0.0000 0.0279
```

Starting from the PBE geometry in the Materials Project, the XRD peak list of Bi was calculated for copper Kα.
Kinematic intensities with the Lorentz-polarization factor, no thermal factor.

The 10 most intense peaks (5 to 70 degrees two-theta), in order of falling intensity:
2θ (°)	I_rel
31.21	100
14.07	38
31.80	26
60.32	25
40.55	16
43.13	13
55.16	11
42.67	10
61.23	10
63.17	9

Atomic structure:
```
4
Lattice="-4.4497 4.4497 2.0656 4.4497 -4.4497 2.0656 4.4497 4.4497 -2.0656" Properties=species:S:1:pos:R:3 pbc="T T T"
Bi 5.7460 1.2963 0.0000
Bi 1.2963 3.1535 0.0000
Bi 3.1535 1.2963 2.0656
Bi -1.2963 3.1535 2.0656
```

Starting from the PBE geometry in the Materials Project, the XRD peak list of Dy2Te5 was calculated for copper Kα.
Kinematic intensities with the Lorentz-polarization factor, no thermal factor.

The 10 most intense peaks (5 to 70 degrees two-theta), in order of falling intensity:
2θ (°)	I_rel
30.65	100
34.33	71
41.30	63
28.44	43
50.91	34
28.95	23
35.20	22
68.72	21
59.83	21
36.94	18

Atomic structure:
```
14
Lattice="2.1856 -21.9657 0.0000 2.1856 21.9657 0.0000 0.0000 0.0000 4.3737" Properties=species:S:1:pos:R:3 pbc="T T T"
Dy 2.1856 17.6591 3.2803
Dy 2.1856 8.4649 3.2803
Dy 2.1856 -8.4649 1.0934
Dy 2.1856 -17.6591 1.0934
Te 2.1856 20.1395 1.0934
Te 2.1856 14.3889 3.2803
Te 2.1856 10.9827 1.0934
Te 2.1856 5.2763 3.2803
Te 2.1856 1.8352 1.0934
Te 2.1856 -1.8352 3.2803
Te 2.1856 -5.2763 1.0934
Te 2.1856 -10.9827 3.2803
Te 2.1856 -14.3889 1.0934
Te 2.1856 -20.1395 3.2803
```

Starting from the PBE geometry in the Materials Project, the XRD peak list of TaN was calculated for copper Kα.
Kinematic intensities with the Lorentz-polarization factor, no thermal factor.

The 3 most intense peaks (5 to 70 degrees two-theta), in order of falling intensity:
2θ (°)	I_rel
35.15	100
40.81	67
59.08	45

Atomic structure:
```
2
Lattice="0.0000 2.2113 2.2113 2.2113 0.0000 2.2113 2.2113 2.2113 0.0000" Properties=species:S:1:pos:R:3 pbc="T T T"
Ta 0.0000 0.0000 0.0000
N 2.2113 2.2113 2.2113
```

Starting from the PBE geometry in the Materials Project, the XRD peak list of Ta4MoSe10 was calculated for copper Kα.
Kinematic intensities with the Lorentz-polarization factor, no thermal factor.

The 10 most intense peaks (5 to 70 degrees two-theta), in order of falling intensity:
2θ (°)	I_rel
13.05	100
37.38	58
34.87	47
43.47	39
30.29	35
53.20	32
31.25	28
46.94	22
55.02	16
66.82	10

Atomic structure:
```
15
Lattice="1.7218 0.9941 33.9214 -1.7218 0.9941 33.9214 0.0000 -1.9882 33.9214" Properties=species:S:1:pos:R:3 pbc="T T T"
Ta 0.0000 0.0000 0.0000
Ta 0.0000 0.0000 20.3450
Ta 0.0000 0.0000 40.7138
Ta 0.0000 0.0000 61.0581
Mo 0.0000 0.0000 81.4073
Se 0.0000 0.0000 11.9348
Se 0.0000 0.0000 15.1986
Se 0.0000 0.0000 32.2322
Se 0.0000 0.0000 35.6102
Se 0.0000 0.0000 52.5784
Se 0.0000 0.0000 55.9562
Se 0.0000 0.0000 72.9480
Se 0.0000 0.0000 76.3228
Se 0.0000 0.0000 93.2907
Se 0.0000 0.0000 96.6685
```

Starting from the PBE geometry in the Materials Project, the XRD peak list of KBaSn was calculated for copper Kα.
Kinematic intensities with the Lorentz-polarization factor, no thermal factor.

The 10 most intense peaks (5 to 70 degrees two-theta), in order of falling intensity:
2θ (°)	I_rel
31.34	100
22.02	62
55.79	38
50.57	28
38.64	20
44.91	18
69.92	14
65.40	12
19.04	5
36.93	3

Atomic structure:
```
3
Lattice="0.0000 4.0363 4.0363 4.0363 0.0000 4.0363 4.0363 4.0363 0.0000" Properties=species:S:1:pos:R:3 pbc="T T T"
K 0.0000 0.0000 0.0000
Ba 6.0544 6.0544 6.0544
Sn 2.0181 2.0181 2.0181
```

Starting from the PBE geometry in the Materials Project, the XRD peak list of Zr3Zn2 was calculated for copper Kα.
Kinematic intensities with the Lorentz-polarization factor, no thermal factor.

The 10 most intense peaks (5 to 70 degrees two-theta), in order of falling intensity:
2θ (°)	I_rel
37.39	100
37.00	68
35.45	63
32.97	24
39.43	17
68.18	16
67.71	14
42.42	13
48.88	12
57.81	12

Atomic structure:
```
20
Lattice="7.6831 0.0000 0.0000 0.0000 7.6831 0.0000 0.0000 0.0000 6.7340" Properties=species:S:1:pos:R:3 pbc="T T T"
Zr 0.0000 3.8416 1.6835
Zr 0.0000 3.8416 5.0505
Zr 1.1965 1.1965 0.0000
Zr 1.5439 1.5439 3.3670
Zr 2.2976 5.3855 0.0000
Zr 2.6451 5.0380 3.3670
Zr 3.8416 0.0000 1.6835
Zr 3.8416 0.0000 5.0505
Zr 5.0380 2.6451 3.3670
Zr 5.3855 2.2976 0.0000
Zr 6.1392 6.1392 3.3670
Zr 6.4867 6.4867 0.0000
Zn 0.9216 6.7615 2.0073
Zn 0.9216 6.7615 4.7267
Zn 2.9200 2.9200 1.3597
Zn 2.9200 2.9200 5.3743
Zn 4.7631 4.7631 1.3597
Zn 4.7631 4.7631 5.3743
Zn 6.7615 0.9216 2.0073
Zn 6.7615 0.9216 4.7267
```